Structure and theoretical X-ray diffraction stick pattern of Gd3MoO7 (a crystal structure in Alexandria, relaxed with PBE+U; Cu Kα).
Neutral-atom scattering factors, no anomalous dispersion.

Peak list (8 most intense, 10 to 90 degrees two-theta, in order of rising 2θ)
2θ = 28.69°, I = 91, hkl 0 2 2
2θ = 29.09°, I = 100, hkl 2 0 2
2θ = 33.41°, I = 23, hkl 0 0 4
2θ = 33.51°, I = 45, hkl 2 2 0
2θ = 48.05°, I = 45, hkl 2 2 4
2θ = 48.64°, I = 17, hkl 4 0 0
2θ = 56.81°, I = 21, hkl 0 2 6
2θ = 57.46°, I = 27, hkl 4 2 2

Structure:
Cell: 7.4876 7.6403 10.7266 Å, 90.00 90.00 90.00°
Space group P2_12_12_1 (No. 19)
Asymmetric unit:
Gd: 0.0008 0.0392 0.2271 x4
Gd: 0.0017 0.0362 0.7761 x4
Gd: 0.2331 0.2006 0.5005 x4
Mo: 0.2470 0.2518 0.9999 x4
O: 0.0043 0.6518 0.4999 x4
O: 0.0088 0.7705 0.1337 x4
O: 0.0104 0.7639 0.8662 x4
O: 0.2045 0.3931 0.8580 x4
O: 0.2079 0.4049 0.1407 x4
O: 0.2108 0.9474 0.6237 x4
O: 0.2118 0.9555 0.3748 x4